Record 1
Computed powder diffractogram
Compound: Sm12Pt6Rh
Radiation: copper Kα
Structure: a crystal structure in Alexandria, relaxed with PBE
Kinematic intensities with the Lorentz-polarization factor, no thermal factor.

Structural model:
```
data_Sm12Pt6Rh
_chemical_formula_sum 'Sm36 Pt18 Rh3'
_cell_length_a 12.7597
_cell_length_b 12.7597
_cell_length_c 11.9545
_cell_angle_alpha 90.00
_cell_angle_beta 90.00
_cell_angle_gamma 120.00
_symmetry_space_group_name_H-M 'R -3'
_symmetry_Int_Tables_number 148
_symmetry_space_group_name_Hall '-R 3'
loop_
_atom_site_label
_atom_site_type_symbol
_atom_site_fract_x
_atom_site_fract_y
_atom_site_fract_z
Sm1 Sm 0.0288 0.2167 0.3943
Sm2 Sm 0.0424 0.2061 0.8852
Pt1 Pt 0.0460 0.2643 0.6476
Rh1 Rh 0.0000 0.0000 0.0000
```

Principal peaks in the range 2θ from 10° to 90°, sorted by position:
2theta	I (rel.)	hkl
13.9	15	1 1 0
22.3	21	0 0 3
22.6	84	2 1 1
31.0	30	1 0 4
32.8	35	3 1 2
37.0	91	2 1 4
37.3	100	1 4 0
43.6	15	3 -2 5
43.9	17	5 -1 3
53.5	24	6 -4 4

Record 2
Computed powder diffractogram
Compound: SmTmPtRh
Radiation: copper Kα
Structure: a crystal structure in Alexandria, relaxed with PBE
Kinematic intensities with the Lorentz-polarization factor, no thermal factor.

Structural model:
```
data_SmTmPtRh
_chemical_formula_sum 'Sm2 Tm2 Pt2 Rh2'
_cell_length_a 4.3651
_cell_length_b 3.8017
_cell_length_c 10.5987
_cell_angle_alpha 90.00
_cell_angle_beta 90.00
_cell_angle_gamma 90.00
_symmetry_space_group_name_H-M 'A m m 2'
_symmetry_Int_Tables_number 38
_symmetry_space_group_name_Hall 'A 2 -2'
loop_
_atom_site_label
_atom_site_type_symbol
_atom_site_fract_x
_atom_site_fract_y
_atom_site_fract_z
Sm1 Sm 0.0000 0.0000 0.0000
Tm1 Tm 0.5000 0.0000 0.7176
Pt1 Pt 0.5000 0.0000 0.4386
Rh1 Rh 0.0000 0.0000 0.2646
```

Principal peaks in the range 2θ from 10° to 90°, sorted by position:
2theta	I (rel.)	hkl
32.3	100	1 1 1
33.8	29	0 0 4
34.7	21	0 1 3
39.8	25	1 0 4
40.5	66	1 1 3
41.4	30	2 0 0
47.9	20	0 2 0
54.5	15	2 0 4
65.1	16	2 2 0
74.9	18	1 0 8

Record 3
Computed powder diffractogram
Compound: SnPt6Rh2
Radiation: copper Kα
Structure: a crystal structure in Alexandria, relaxed with PBE
Kinematic intensities with the Lorentz-polarization factor, no thermal factor.

Structural model:
```
data_SnPt6Rh2
_chemical_formula_sum 'Sn2 Pt12 Rh4'
_cell_length_a 8.4267
_cell_length_b 8.4267
_cell_length_c 3.9880
_cell_angle_alpha 90.00
_cell_angle_beta 90.00
_cell_angle_gamma 90.00
_symmetry_space_group_name_H-M 'P 42/m n m'
_symmetry_Int_Tables_number 136
_symmetry_space_group_name_Hall '-P 4n 2n'
loop_
_atom_site_label
_atom_site_type_symbol
_atom_site_fract_x
_atom_site_fract_y
_atom_site_fract_z
Sn1 Sn 0.0000 0.0000 0.0000
Pt1 Pt 0.0024 0.3325 0.0000
Pt2 Pt 0.1693 0.1693 0.5000
Rh1 Rh 0.1632 0.8368 0.5000
```

Principal peaks in the range 2θ from 10° to 90°, sorted by position:
2theta	I (rel.)	hkl
14.9	3	1 1 0
23.6	3	2 1 0
39.2	100	3 0 1
45.5	17	0 0 2
45.7	33	3 3 0
66.4	22	3 3 2
66.6	11	6 0 0
79.8	13	3 0 3
80.1	26	6 3 1
84.4	11	6 0 2

Record 4
Computed powder diffractogram
Compound: TaPt7Rh4
Radiation: copper Kα
Structure: a crystal structure in Alexandria, relaxed with PBE
Kinematic intensities with the Lorentz-polarization factor, no thermal factor.

Structural model:
```
data_TaPt7Rh4
_chemical_formula_sum 'Ta1 Pt7 Rh4'
_cell_length_a 4.8355
_cell_length_b 5.5668
_cell_length_c 7.3628
_cell_angle_alpha 100.95
_cell_angle_beta 109.10
_cell_angle_gamma 90.10
_symmetry_space_group_name_H-M 'P -1'
_symmetry_Int_Tables_number 2
_symmetry_space_group_name_Hall '-P 1'
loop_
_atom_site_label
_atom_site_type_symbol
_atom_site_fract_x
_atom_site_fract_y
_atom_site_fract_z
Ta1 Ta 0.0000 0.0000 0.0000
Pt1 Pt 0.0000 0.5000 0.0000
Pt2 Pt 0.1621 0.9189 0.6660
Pt3 Pt 0.3264 0.3319 0.3282
Pt4 Pt 0.4992 0.7507 0.0001
Rh1 Rh 0.1662 0.4142 0.6621
Rh2 Rh 0.3349 0.8325 0.3293
```

Principal peaks in the range 2θ from 10° to 90°, sorted by position:
2theta	I (rel.)	hkl
39.6	100	2 0 -2
39.7	99	1 2 0
46.1	65	1 2 -3
46.1	33	-1 2 2
67.2	32	3 2 -2
67.3	21	0 4 -1
80.7	13	4 0 -1
80.9	25	3 2 -5
81.0	25	2 4 -3
81.1	13	0 4 2

Record 5
Computed powder diffractogram
Compound: Ta2PtRh
Radiation: copper Kα
Structure: a crystal structure in Alexandria, relaxed with PBE
Kinematic intensities with the Lorentz-polarization factor, no thermal factor.

Structural model:
```
data_Ta2PtRh
_chemical_formula_sum 'Ta2 Pt1 Rh1'
_cell_length_a 2.8380
_cell_length_b 4.0196
_cell_length_c 5.6739
_cell_angle_alpha 90.00
_cell_angle_beta 90.48
_cell_angle_gamma 90.00
_symmetry_space_group_name_H-M 'P 1 2/m 1'
_symmetry_Int_Tables_number 10
_symmetry_space_group_name_Hall '-P 2y'
loop_
_atom_site_label
_atom_site_type_symbol
_atom_site_fract_x
_atom_site_fract_y
_atom_site_fract_z
Ta1 Ta 0.0020 0.0000 0.2537
Pt1 Pt 0.5000 0.5000 0.0000
Rh1 Rh 0.5000 0.5000 0.5000
```

Principal peaks in the range 2θ from 10° to 90°, sorted by position:
2theta	I (rel.)	hkl
38.9	100	1 1 0
45.0	17	1 0 -2
45.1	16	0 2 0
45.4	16	1 0 2
65.6	11	1 2 -2
65.8	11	2 0 0
78.9	13	2 1 -2
79.0	13	1 3 0
79.4	13	2 1 2
83.4	11	2 2 0

Record 6
Computed powder diffractogram
Compound: TaPt4Rh2
Radiation: copper Kα
Structure: a crystal structure in Alexandria, relaxed with PBE
Kinematic intensities with the Lorentz-polarization factor, no thermal factor.

Structural model:
```
data_TaPt4Rh2
_chemical_formula_sum 'Ta2 Pt8 Rh4'
_cell_length_a 8.7953
_cell_length_b 3.9512
_cell_length_c 6.2905
_cell_angle_alpha 90.00
_cell_angle_beta 98.79
_cell_angle_gamma 90.00
_symmetry_space_group_name_H-M 'C 1 2/m 1'
_symmetry_Int_Tables_number 12
_symmetry_space_group_name_Hall '-C 2y'
loop_
_atom_site_label
_atom_site_type_symbol
_atom_site_fract_x
_atom_site_fract_y
_atom_site_fract_z
Ta1 Ta 0.0000 0.0000 0.0000
Pt1 Pt 0.0678 0.5000 0.7174
Pt2 Pt 0.1464 0.0000 0.4204
Rh1 Rh 0.2123 0.5000 0.1337
```

Principal peaks in the range 2θ from 10° to 90°, sorted by position:
2theta	I (rel.)	hkl
39.5	100	1 1 2
45.5	17	2 0 -3
45.9	16	0 2 0
46.3	16	4 0 1
66.7	11	2 2 -3
67.3	11	4 2 1
80.0	13	1 1 -5
80.6	13	1 3 2
81.2	13	5 1 3
85.0	11	2 2 4

Record 7
Computed powder diffractogram
Compound: TaZnPtRh
Radiation: copper Kα
Structure: a crystal structure in Alexandria, relaxed with PBE
Kinematic intensities with the Lorentz-polarization factor, no thermal factor.

Structural model:
```
data_TaZnPtRh
_chemical_formula_sum 'Ta2 Zn2 Pt2 Rh2'
_cell_length_a 4.0251
_cell_length_b 4.0251
_cell_length_c 7.5186
_cell_angle_alpha 90.00
_cell_angle_beta 90.00
_cell_angle_gamma 90.00
_symmetry_space_group_name_H-M 'I -4 m 2'
_symmetry_Int_Tables_number 119
_symmetry_space_group_name_Hall 'I -4 -2'
loop_
_atom_site_label
_atom_site_type_symbol
_atom_site_fract_x
_atom_site_fract_y
_atom_site_fract_z
Ta1 Ta 0.0000 0.0000 0.0000
Zn1 Zn 0.0000 0.0000 0.5000
Pt1 Pt 0.0000 0.5000 0.2500
Rh1 Rh 0.0000 0.5000 0.7500
```

Principal peaks in the range 2θ from 10° to 90°, sorted by position:
2theta	I (rel.)	hkl
25.1	20	1 0 1
39.7	100	1 1 2
45.0	35	2 0 0
48.4	14	0 0 4
52.3	6	2 1 1
65.6	11	2 2 0
68.3	20	2 0 4
79.5	26	3 1 2
84.5	11	1 1 6
85.6	11	2 2 4

Record 8
Computed powder diffractogram
Compound: Tb4PtRh
Radiation: copper Kα
Structure: a crystal structure in Alexandria, relaxed with PBE
Kinematic intensities with the Lorentz-polarization factor, no thermal factor.

Structural model:
```
data_Tb4PtRh
_chemical_formula_sum 'Tb8 Pt2 Rh2'
_cell_length_a 6.9189
_cell_length_b 6.9102
_cell_length_c 6.9096
_cell_angle_alpha 90.00
_cell_angle_beta 91.37
_cell_angle_gamma 90.00
_symmetry_space_group_name_H-M 'P 1 21/c 1'
_symmetry_Int_Tables_number 14
_symmetry_space_group_name_Hall '-P 2ybc'
loop_
_atom_site_label
_atom_site_type_symbol
_atom_site_fract_x
_atom_site_fract_y
_atom_site_fract_z
Tb1 Tb 0.1689 0.1716 0.1786
Tb2 Tb 0.3257 0.6701 0.1640
Pt1 Pt 0.5000 0.0000 0.0000
Rh1 Rh 0.0000 0.0000 0.5000
```

Principal peaks in the range 2θ from 10° to 90°, sorted by position:
2theta	I (rel.)	hkl
22.1	23	1 1 -1
22.5	23	1 1 1
28.9	100	0 2 1
29.2	37	1 0 2
31.4	30	2 1 -1
36.8	57	2 2 0
43.1	31	1 1 -3
43.7	27	3 1 1
54.7	20	4 1 0
59.8	22	2 4 0

Copy entry 8 word for word.
Computed powder diffractogram
Compound: Tb4PtRh
Radiation: copper Kα
Structure: a crystal structure in Alexandria, relaxed with PBE
Kinematic intensities with the Lorentz-polarization factor, no thermal factor.

Structural model:
```
data_Tb4PtRh
_chemical_formula_sum 'Tb8 Pt2 Rh2'
_cell_length_a 6.9189
_cell_length_b 6.9102
_cell_length_c 6.9096
_cell_angle_alpha 90.00
_cell_angle_beta 91.37
_cell_angle_gamma 90.00
_symmetry_space_group_name_H-M 'P 1 21/c 1'
_symmetry_Int_Tables_number 14
_symmetry_space_group_name_Hall '-P 2ybc'
loop_
_atom_site_label
_atom_site_type_symbol
_atom_site_fract_x
_atom_site_fract_y
_atom_site_fract_z
Tb1 Tb 0.1689 0.1716 0.1786
Tb2 Tb 0.3257 0.6701 0.1640
Pt1 Pt 0.5000 0.0000 0.0000
Rh1 Rh 0.0000 0.0000 0.5000
```

Principal peaks in the range 2θ from 10° to 90°, sorted by position:
2theta	I (rel.)	hkl
22.1	23	1 1 -1
22.5	23	1 1 1
28.9	100	0 2 1
29.2	37	1 0 2
31.4	30	2 1 -1
36.8	57	2 2 0
43.1	31	1 1 -3
43.7	27	3 1 1
54.7	20	4 1 0
59.8	22	2 4 0